Entry 1:
Rb2As2Pt: theoretical XRD peak list (Cu Kα (λ = 1.5418 Å)), based on DFT lattice parameters and positions (GGA-PBE).
Peak positions follow from Bragg's law for the DFT cell and can differ from measured ones.

Structural model:
```
Rb2As2Pt
1.0
3.4025 -7.3766 0.0000
3.4025 7.3766 0.0000
0.0000 0.0000 6.4150
Rb As Pt
4 4 2
Cartesian
3.4025 6.1601 4.8112 Rb
3.4025 3.0363 1.6037 Rb
3.4025 -3.0363 4.8112 Rb
3.4025 -6.1601 1.6037 Rb
2.1748 1.5349 4.8112 As
2.1748 -1.5349 1.6037 As
4.6302 1.5349 4.8112 As
4.6302 -1.5349 1.6037 As
3.4025 0.0000 0.0000 Pt
3.4025 0.0000 3.2075 Pt
```

Peak list (10 most intense, 10° ≤ 2θ ≤ 90°, low angle first)
- d = 7.377 Å, 2θ = 12.00°, I = 81.7
- d = 6.179 Å, 2θ = 14.33°, I = 100.0
- d = 3.386 Å, 2θ = 26.32°, I = 57.3
- d = 2.847 Å, 2θ = 31.42°, I = 30.7
- d = 2.784 Å, 2θ = 32.16°, I = 37.5
- d = 2.707 Å, 2θ = 33.09°, I = 30.1
- d = 2.500 Å, 2θ = 35.93°, I = 69.3
- d = 2.420 Å, 2θ = 37.15°, I = 29.2
- d = 1.838 Å, 2θ = 49.61°, I = 30.9
- d = 1.798 Å, 2θ = 50.77°, I = 27.3

=====

Entry 2:
ErCuSi: theoretical XRD peak list (Cu Kα (λ = 1.5418 Å)), based on DFT lattice parameters and positions (GGA-PBE).
Peak positions follow from Bragg's law for the DFT cell and can differ from measured ones.

Structural model:
```
ErCuSi
1.0
4.1315 0.0000 0.0000
-2.0658 3.5780 0.0000
0.0000 0.0000 7.3572
Er Cu Si
2 2 2
Cartesian
0.0000 0.0000 0.0000 Er
0.0000 0.0000 3.6786 Er
0.0000 2.3853 1.8393 Cu
2.0658 1.1927 5.5179 Cu
0.0000 2.3853 5.5179 Si
2.0658 1.1927 1.8393 Si
```

Peak list (10 most intense, 10° ≤ 2θ ≤ 90°, low angle first)
- d = 3.578 Å, 2θ = 24.89°, I = 34.7
- d = 2.565 Å, 2θ = 34.98°, I = 100.0
- d = 2.066 Å, 2θ = 43.83°, I = 40.0
- d = 1.839 Å, 2θ = 49.56°, I = 9.3
- d = 1.636 Å, 2θ = 56.23°, I = 7.9
- d = 1.609 Å, 2θ = 57.26°, I = 24.0
- d = 1.374 Å, 2θ = 68.28°, I = 20.8
- d = 1.269 Å, 2θ = 74.80°, I = 21.6
- d = 1.193 Å, 2θ = 80.54°, I = 6.6
- d = 1.160 Å, 2θ = 83.30°, I = 8.2